This entry pairs a crystal structure of Na2NbH2O6 with its computed X-ray diffraction stick pattern. Radiation: λ = 1.5418 Å (Cu Kα). Structure: a cell relaxed with PBE.
Lines closer than 0.1° are merged.

Main lines, by angle (2θ = 15–90°):
hkl 0 0 1, 16.5 deg, d = 5.368 Å, intensity 28.2; hkl 1 0 0, 20.0 deg, d = 4.447 Å, intensity 46.5; hkl 1 0 1, 26.0 deg, d = 3.425 Å, intensity 100.0; hkl 1 1 0, 34.9 deg, d = 2.568 Å, intensity 24.7; hkl 1 0 2, 39.2 deg, d = 2.298 Å, intensity 31.7; hkl 2 0 1, 44.1 deg, d = 2.054 Å, intensity 42.4

Structure:
abc: 5.135 5.135 5.368
angles: 90.00 90.00 120.00
Fractional positions:
Na1 0.333 0.667 0.353
Na2 0.667 0.333 0.647
Nb1 0.000 0.000 0.000
H1 0.333 0.667 0.787
H2 0.667 0.333 0.213
O1 0.177 0.359 0.774
O2 0.182 0.823 0.774
O3 0.359 0.182 0.226
O4 0.641 0.818 0.774
O5 0.818 0.177 0.226
O6 0.823 0.641 0.226